Entry 1:
Calculated powder diffractogram
Compound: YTm2Bi3
Radiation: copper Kα
Structure: the PBE geometry in OQMD

Atomic structure:
```
data_YTm2Bi3
_chemical_formula_sum 'Y1 Tm2 Bi3'
_space_group_name_H-M_alt 'P -3 m 1'
_space_group_IT_number 164
_space_group_name_Hall '-P 3 2"'
_cell_length_a 4.4370
_cell_length_b 4.4370
_cell_length_c 10.8796
_cell_angle_alpha 90.00
_cell_angle_beta 90.00
_cell_angle_gamma 120.00
loop_
_atom_site_label
_atom_site_fract_x
_atom_site_fract_y
_atom_site_fract_z
_atom_site_occupancy
Y1 0.0000 0.0000 0.0000 1
Tm1 0.3333 0.6667 0.3344 1
Bi1 0.0000 0.0000 0.5000 1
Bi2 0.3333 0.6667 0.8302 1
```

Main lines, sorted by position (2θ from 10° to 90°):
- 2θ = 28.44°, intensity 1000, (1 0 2)
- 2θ = 40.65°, intensity 779, (1 1 0)
- 2θ = 50.36°, intensity 282, (0 2 2)
- 2θ = 58.85°, intensity 134, (2 0 4)
- 2θ = 66.63°, intensity 369, (2 1 2)
- 2θ = 73.98°, intensity 275, (3 0 0)



Entry 2:
Calculated powder diffractogram
Compound: Re5Si3
Radiation: copper Kα
Structure: the PBE geometry in OQMD

Atomic structure:
```
data_Re5Si3
_chemical_formula_sum 'Re10 Si6'
_space_group_name_H-M_alt 'P 63/m c m'
_space_group_IT_number 193
_space_group_name_Hall '-P 6c 2'
_cell_length_a 7.1129
_cell_length_b 7.1129
_cell_length_c 5.0587
_cell_angle_alpha 90.00
_cell_angle_beta 90.00
_cell_angle_gamma 120.00
loop_
_atom_site_label
_atom_site_fract_x
_atom_site_fract_y
_atom_site_fract_z
_atom_site_occupancy
Re1 0.0000 0.2330 0.2500 1
Re2 0.3333 0.6667 0.0000 1
Si1 0.0000 0.3951 0.7500 1
```

Main lines, sorted by position (2θ from 10° to 90°):
- 2θ = 28.99°, intensity 376, (2 0 0)
- 2θ = 30.73°, intensity 449, (1 1 1)
- 2θ = 38.48°, intensity 547, (1 0 2)
- 2θ = 38.67°, intensity 583, (2 1 0)
- 2θ = 42.75°, intensity 1000, (2 1 1)
- 2θ = 43.93°, intensity 739, (1 1 2)